Diffraction record for Ac2HoGe3Pt4. The powder diffraction line list is calculated, not measured: it uses a structure optimized by DFT (GGA-PBE) and Cu Kα (weighted mean of Kα1 and Kα2).
Intensities are scaled so that the largest is 100.

```
Ac2HoGe3Pt4
1.0
4.4523 0.0000 0.0000
0.0000 4.4523 0.0000
0.0000 0.0000 11.0983
Ac Ho Ge Pt
2 1 3 4
direct
0.0000 0.5000 0.2300
0.5000 0.0000 0.7700
0.0000 0.0000 0.5000
0.0000 0.5000 0.8822
0.5000 0.0000 0.1178
0.5000 0.5000 0.5000
0.0000 0.0000 0.0000
0.0000 0.5000 0.6534
0.5000 0.0000 0.3466
0.5000 0.5000 0.0000
```

Top 8 peaks for 2θ = 10–90°, sorted by position:
- 31.4 deg, intensity 32
- 32.7 deg, intensity 100
- 40.5 deg, intensity 52
- 45.7 deg, intensity 20
- 52.2 deg, intensity 16
- 58.7 deg, intensity 19
- 62.7 deg, intensity 16
- 68.8 deg, intensity 24